Starting from a crystal structure in Alexandria, relaxed with PBE, the X-ray diffraction stick pattern of Mg2SnO was calculated for Cu Kα, 1.54184 Å.

Cell and atoms:
```
Mg2SnO
1.0
1.633 0.943 7.130
-1.633 0.943 7.130
0.000 -1.886 7.130
Mg Sn O
2 1 1
direct
0.223 0.223 0.223
0.777 0.777 0.777
0.000 0.000 0.000
0.500 0.500 0.500
```

Principal peaks in the range 2θ = 15–90°, in order of rising 2θ:
- 2θ = 25.0°, I = 34
- 2θ = 31.9°, I = 55
- 2θ = 32.7°, I = 33
- 2θ = 35.9°, I = 100
- 2θ = 37.9°, I = 22
- 2θ = 38.1°, I = 56
- 2θ = 46.7°, I = 33
- 2θ = 56.3°, I = 30
- 2θ = 69.9°, I = 24
- 2θ = 70.0°, I = 24

=====

Starting from a crystal structure in Alexandria, relaxed with PBE, the X-ray diffraction stick pattern of Tb2Ho5In was calculated for Cu Kα, 1.54184 Å.

Cell and atoms:
```
Tb2Ho5In
1.0
4.305 -10.161 0.000
4.305 10.161 0.000
-2.296 0.000 5.583
Tb Ho In
4 10 2
direct
0.054 0.946 0.500
0.176 0.738 0.508
0.738 0.176 0.008
0.946 0.054 0.000
0.001 0.258 0.569
0.217 0.496 0.188
0.258 0.001 0.069
0.456 0.711 0.809
0.496 0.217 0.688
0.536 0.972 0.373
0.658 0.765 0.376
0.711 0.456 0.309
0.765 0.658 0.876
0.972 0.536 0.873
0.356 0.356 0.438
0.356 0.356 0.938
```

Principal peaks in the range 2θ = 15–90°, in order of rising 2θ:
- 2θ = 29.9°, I = 34
- 2θ = 31.7°, I = 100
- 2θ = 32.5°, I = 22
- 2θ = 32.8°, I = 41
- 2θ = 33.4°, I = 42
- 2θ = 34.1°, I = 17
- 2θ = 34.5°, I = 46
- 2θ = 36.1°, I = 21
- 2θ = 56.4°, I = 14
- 2θ = 58.6°, I = 18

=====

Starting from a crystal structure in Alexandria, relaxed with PBE, the X-ray diffraction stick pattern of Hf2Be16Si was calculated for Cu Kα, 1.54184 Å.

Cell and atoms:
```
Hf2Be16Si
1.0
3.767 2.175 3.672
-3.767 2.175 3.672
0.000 -4.350 3.672
Hf Be Si
2 16 1
direct
0.000 0.000 0.000
0.320 0.320 0.320
0.003 0.003 0.499
0.003 0.499 0.003
0.154 0.664 0.664
0.314 0.314 0.826
0.314 0.826 0.314
0.365 0.662 0.957
0.365 0.957 0.662
0.499 0.003 0.003
0.662 0.365 0.957
0.662 0.957 0.365
0.664 0.154 0.664
0.664 0.664 0.154
0.762 0.762 0.762
0.826 0.314 0.314
0.957 0.365 0.662
0.957 0.662 0.365
0.563 0.563 0.563
```

Principal peaks in the range 2θ = 15–90°, in order of rising 2θ:
- 2θ = 15.8°, I = 48
- 2θ = 21.1°, I = 19
- 2θ = 23.6°, I = 100
- 2θ = 24.2°, I = 26
- 2θ = 34.1°, I = 76
- 2θ = 41.5°, I = 30
- 2θ = 48.3°, I = 22
- 2θ = 48.7°, I = 36
- 2θ = 49.6°, I = 21
- 2θ = 71.0°, I = 25